Record 1
# Na4Al3Si3HO13
Computed PXRD pattern, Cu Kα (λ = 1.5418 Å). Input: DFT lattice parameters and positions (PBE).
Intensities are scaled so that the largest is 100.

Main lines, in order of rising 2θ (10° ≤ 2θ ≤ 90°):
two_theta  I (rel.)
14.19  66.6
24.66  100.0
24.83  31.8
32.00  12.2
32.12  18.8
35.15  25.6
38.04  18.6
43.37  13.3
59.01  14.1
59.41  15.8

a = 8.8277 Å, b = 8.8277 Å, c = 8.8277 Å
α = 90.35°, β = 90.35°, γ = 90.35°
Element x y z (fractional)
Na (0.0000, 0.0000, 0.0000)
Na (0.3060, 0.9798, 0.3066)
Na (0.3066, 0.3060, 0.9798)
Na (0.4798, 0.8060, 0.8066)
Na (0.5000, 0.5000, 0.5000)
Na (0.8060, 0.8066, 0.4798)
Na (0.8066, 0.4798, 0.8060)
Na (0.9798, 0.3066, 0.3060)
Al (0.1465, 0.6473, 0.8984)
Al (0.1473, 0.6465, 0.3984)
Al (0.3984, 0.1473, 0.6465)
Al (0.6465, 0.3984, 0.1473)
Al (0.6473, 0.8984, 0.1465)
Al (0.8984, 0.1465, 0.6473)
Si (0.1466, 0.8973, 0.6485)
Si (0.1485, 0.3973, 0.6466)
Si (0.3973, 0.6466, 0.1485)
Si (0.6466, 0.1485, 0.3973)
Si (0.6485, 0.1466, 0.8973)
Si (0.8973, 0.6485, 0.1466)
H (0.2261, 0.2261, 0.2261)
H (0.7261, 0.7261, 0.7261)
O (0.0009, 0.7224, 0.0117)
O (0.0115, 0.2935, 0.5735)
O (0.0117, 0.0009, 0.7224)
O (0.0735, 0.7935, 0.5115)
O (0.0752, 0.4991, 0.7838)
O (0.1619, 0.1619, 0.1619)
O (0.2185, 0.7944, 0.7852)
O (0.2224, 0.5009, 0.5117)
O (0.2838, 0.9991, 0.5752)
O (0.2852, 0.2944, 0.7185)
O (0.2935, 0.5735, 0.0115)
O (0.2944, 0.7185, 0.2852)
O (0.4991, 0.7838, 0.0752)
O (0.5009, 0.5117, 0.2224)
O (0.5115, 0.0735, 0.7935)
O (0.5117, 0.2224, 0.5009)
O (0.5735, 0.0115, 0.2935)
O (0.5752, 0.2838, 0.9991)
O (0.6619, 0.6619, 0.6619)
O (0.7185, 0.2852, 0.2944)
O (0.7224, 0.0117, 0.0009)
O (0.7838, 0.0752, 0.4991)
O (0.7852, 0.2185, 0.7944)
O (0.7935, 0.5115, 0.0735)
O (0.7944, 0.7852, 0.2185)
O (0.9991, 0.5752, 0.2838)

Record 2
# NaAlSbH
Computed PXRD pattern, Cu Kα (λ = 1.5418 Å). Input: DFT lattice parameters and positions (PBE).
Intensities are scaled so that the largest is 100.

Main lines, in order of rising 2θ (10° ≤ 2θ ≤ 90°):
two_theta  I (rel.)
15.89  64.2
23.90  87.5
27.27  100.0
32.07  32.6
35.97  44.0
38.09  31.5
41.75  53.3
44.94  37.4
48.68  25.1
57.81  20.9

a = 11.4344 Å, b = 11.4344 Å, c = 11.4344 Å
α = 21.82°, β = 21.82°, γ = 21.82°
Element x y z (fractional)
Na (0.0000, 0.0000, 0.0000)
Na (0.5000, 0.5000, 0.5000)
Al (0.2373, 0.2373, 0.2373)
Al (0.7627, 0.7627, 0.7627)
Sb (0.3999, 0.3999, 0.3999)
Sb (0.6001, 0.6001, 0.6001)
H (0.1876, 0.1876, 0.1876)
H (0.8124, 0.8124, 0.8124)

Record 3
# NaAlTcH6
Computed PXRD pattern, Cu Kα (λ = 1.5418 Å). Input: DFT lattice parameters and positions (PBE).
Intensities are scaled so that the largest is 100.

Main lines, in order of rising 2θ (10° ≤ 2θ ≤ 90°):
two_theta  I (rel.)
18.01  100.0
21.87  37.8
23.11  28.8
23.88  27.4
28.48  59.2
29.45  64.0
30.07  68.7
36.49  31.0
38.64  27.9
42.94  33.2

a = 4.2820 Å, b = 4.9252 Å, c = 4.5213 Å
α = 90.00°, β = 116.00°, γ = 90.00°
Element x y z (fractional)
Na (0.0000, 0.0000, 0.0000)
Al (0.3194, 0.5000, 0.6261)
Tc (0.6570, 0.5000, 0.2764)
H (0.4849, 0.2481, 0.9683)
H (0.4849, 0.7519, 0.9683)
H (0.5125, 0.2539, 0.4472)
H (0.5125, 0.7461, 0.4472)
H (0.9549, 0.2596, 0.5096)
H (0.9549, 0.7404, 0.5096)